Starting from a cell relaxed with PBE, the X-ray powder pattern of KTl3 was computed for Cu Kα.

The 12 most intense peaks (10 to 90 degrees two-theta), in order of rising 2θ:
d_spacing	Rel. int.
6.852	43.9
3.426	25.1
2.888	100.0
2.684	21.0
2.333	21.2
2.113	13.4
2.102	14.7
1.978	16.5
1.592	16.6
1.586	17.0
1.572	10.7
1.356	13.2

Crystal structure
```
KTl3
1.0
7.9120 0.0000 0.0000
-3.9560 6.8520 0.0000
0.0000 0.0000 5.3679
K Tl
2 6
direct
0.3333 0.6667 0.2500
0.6667 0.3333 0.7500
0.1446 0.2892 0.7500
0.1446 0.8554 0.7500
0.2892 0.1446 0.2500
0.7108 0.8554 0.7500
0.8554 0.1446 0.2500
0.8554 0.7108 0.2500
```